# AlTeCl7
Calculated powder diffraction line list, Cu Kα. Input: a cell relaxed with GGA-PBE.
Lines closer than 0.1° are merged.

Atomic structure:
Cell: 6.8000 8.9602 21.2632 Å, 92.40 92.66 95.66°
Fractional coordinates of all 36 atoms:
Al 0.1877 0.3819 0.0940
Al 0.2254 0.8439 0.3852
Al 0.7746 0.1561 0.6148
Al 0.8123 0.6181 0.9060
Te 0.2335 0.8023 0.6038
Te 0.2673 0.2694 0.8847
Te 0.7327 0.7306 0.1153
Te 0.7665 0.1977 0.3962
Cl 0.0351 0.8557 0.1536
Cl 0.0648 0.3216 0.4387
Cl 0.0681 0.1015 0.5893
Cl 0.0898 0.5629 0.8672
Cl 0.1074 0.2231 0.0139
Cl 0.1391 0.8079 0.7080
Cl 0.2041 0.6532 0.3227
Cl 0.3365 0.5843 0.0572
Cl 0.3595 0.2834 0.1632
Cl 0.3750 0.0393 0.3430
Cl 0.3930 0.3070 0.7855
Cl 0.3931 0.5838 0.6126
Cl 0.3943 0.8024 0.4718
Cl 0.4151 0.0474 0.8999
Cl 0.5849 0.9526 0.1001
Cl 0.6057 0.1976 0.5282
Cl 0.6069 0.4162 0.3874
Cl 0.6070 0.6930 0.2145
Cl 0.6250 0.9607 0.6570
Cl 0.6405 0.7166 0.8368
Cl 0.6635 0.4157 0.9428
Cl 0.7959 0.3468 0.6773
Cl 0.8609 0.1921 0.2920
Cl 0.8926 0.7769 0.9861
Cl 0.9102 0.4371 0.1328
Cl 0.9319 0.8985 0.4107
Cl 0.9352 0.6784 0.5613
Cl 0.9649 0.1443 0.8464

Top 10 peaks for 2θ = 10–90°, by intensity:
d 5.304, 2θ = 16.71°, I = 100
d 2.821, 2θ = 31.72°, I = 64
d 4.452, 2θ = 19.94°, I = 64
d 5.456, 2θ = 16.24°, I = 62
d 6.984, 2θ = 12.67°, I = 60
d 6.670, 2θ = 13.27°, I = 56
d 4.922, 2θ = 18.02°, I = 53
d 5.072, 2θ = 17.48°, I = 49
d 2.892, 2θ = 30.92°, I = 43
d 3.381, 2θ = 26.36°, I = 43



# TiAl2Cl8
Calculated powder diffraction line list, Cu Kα. Input: a cell relaxed with GGA-PBE.
Lines closer than 0.1° are merged.

Atomic structure:
Cell: 6.0417 8.6454 13.6970 Å, 90.00 94.31 90.00°
Fractional coordinates of all 22 atoms:
Ti 0.0000 0.0000 0.0000
Ti 0.0000 0.5000 0.5000
Al 0.3826 0.2361 0.9224
Al 0.3826 0.2639 0.4224
Al 0.6174 0.7361 0.5776
Al 0.6174 0.7639 0.0776
Cl 0.2266 0.0326 0.8509
Cl 0.2266 0.4674 0.3509
Cl 0.2538 0.7159 0.5720
Cl 0.2538 0.7841 0.0720
Cl 0.2628 0.2117 0.0687
Cl 0.2628 0.2883 0.5687
Cl 0.2921 0.0537 0.3532
Cl 0.2921 0.4463 0.8532
Cl 0.7079 0.5537 0.1468
Cl 0.7079 0.9463 0.6468
Cl 0.7372 0.7117 0.4313
Cl 0.7372 0.7883 0.9313
Cl 0.7462 0.2159 0.9280
Cl 0.7462 0.2841 0.4280
Cl 0.7734 0.5326 0.6491
Cl 0.7734 0.9674 0.1491

Top 10 peaks for 2θ = 10–90°, by intensity:
d 3.070, 2θ = 29.09°, I = 100
d 6.829, 2θ = 12.96°, I = 63
d 7.305, 2θ = 12.12°, I = 59
d 5.359, 2θ = 16.54°, I = 31
d 2.014, 2θ = 45.01°, I = 25
d 3.012, 2θ = 29.66°, I = 23
d 4.943, 2θ = 17.95°, I = 19
d 3.652, 2θ = 24.37°, I = 17
d 1.791, 2θ = 51.01°, I = 15
d 4.742, 2θ = 18.71°, I = 15



# TiAl2Cl8
Calculated powder diffraction line list, Cu Kα. Input: a cell relaxed with GGA-PBE.
Lines closer than 0.1° are merged.

Atomic structure:
Cell: 9.9681 9.9681 11.8756 Å, 123.38 123.38 50.42°
Fractional coordinates of all 22 atoms:
Ti 0.0082 0.9918 0.7500
Ti 0.9918 0.0082 0.2500
Al 0.1486 0.6804 0.4674
Al 0.3196 0.8514 0.0326
Al 0.6804 0.1486 0.9674
Al 0.8514 0.3196 0.5326
Cl 0.1238 0.1630 0.5107
Cl 0.1291 0.7087 0.2873
Cl 0.1630 0.1238 0.0107
Cl 0.1711 0.7171 0.8312
Cl 0.2824 0.4007 0.4414
Cl 0.2829 0.8289 0.6688
Cl 0.2913 0.8709 0.2127
Cl 0.4007 0.2824 0.9414
Cl 0.5993 0.7176 0.0586
Cl 0.7087 0.1291 0.7873
Cl 0.7171 0.1711 0.3312
Cl 0.7176 0.5993 0.5586
Cl 0.8289 0.2829 0.1688
Cl 0.8370 0.8762 0.9893
Cl 0.8709 0.2913 0.7127
Cl 0.8762 0.8370 0.4893

Top 10 peaks for 2θ = 10–90°, by intensity:
d 3.065, 2θ = 29.13°, I = 100
d 7.304, 2θ = 12.12°, I = 95
d 7.160, 2θ = 12.36°, I = 91
d 3.154, 2θ = 28.30°, I = 74
d 4.880, 2θ = 18.18°, I = 39
d 2.080, 2θ = 43.50°, I = 37
d 3.581, 2θ = 24.86°, I = 34
d 2.265, 2θ = 39.80°, I = 33
d 2.963, 2θ = 30.16°, I = 29
d 3.652, 2θ = 24.37°, I = 26



# Al3Tl6Cl14
Calculated powder diffraction line list, Cu Kα. Input: a cell relaxed with GGA-PBE.
Lines closer than 0.1° are merged.

Atomic structure:
Cell: 11.6691 11.6691 6.4845 Å, 90.00 90.00 120.00°
Fractional coordinates of all 23 atoms:
Al 0.0000 0.0000 0.0000
Al 0.3333 0.6667 0.1204
Al 0.6667 0.3333 0.4516
Tl 0.1202 0.3227 0.4369
Tl 0.2026 0.8798 0.4369
Tl 0.4418 0.4237 0.8820
Tl 0.5763 0.0182 0.8820
Tl 0.6773 0.7974 0.4369
Tl 0.9818 0.5582 0.8820
Cl 0.0000 0.0000 0.6676
Cl 0.1429 0.5990 0.3282
Cl 0.1986 0.1263 0.1154
Cl 0.2043 0.4767 0.9165
Cl 0.2724 0.7957 0.9165
Cl 0.4010 0.5439 0.3282
Cl 0.4561 0.8571 0.3282
Cl 0.4707 0.1961 0.5681
Cl 0.5233 0.7276 0.9165
Cl 0.6667 0.3333 0.1190
Cl 0.7254 0.5293 0.5681
Cl 0.8039 0.2746 0.5681
Cl 0.8737 0.0723 0.1154
Cl 0.9277 0.8014 0.1154

Top 10 peaks for 2θ = 10–90°, by intensity:
d 3.986, 2θ = 22.31°, I = 100
d 2.573, 2θ = 34.87°, I = 50
d 4.337, 2θ = 20.48°, I = 43
d 2.803, 2θ = 31.93°, I = 37
d 5.053, 2θ = 17.55°, I = 24
d 2.120, 2θ = 42.64°, I = 22
d 2.729, 2θ = 32.82°, I = 21
d 2.472, 2θ = 36.35°, I = 21
d 3.820, 2θ = 23.29°, I = 19
d 2.088, 2θ = 43.34°, I = 19



# AlTl2Cl5
Calculated powder diffraction line list, Cu Kα. Input: a cell relaxed with GGA-PBE.
Lines closer than 0.1° are merged.

Atomic structure:
Cell: 12.8781 9.4346 9.8810 Å, 90.00 108.25 90.00°
Fractional coordinates of all 32 atoms:
Al 0.2018 0.0718 0.4764
Al 0.2018 0.4282 0.9764
Al 0.7982 0.5718 0.0236
Al 0.7982 0.9282 0.5236
Tl 0.1489 0.6291 0.4612
Tl 0.1489 0.8709 0.9612
Tl 0.4807 0.6295 0.2974
Tl 0.4807 0.8705 0.7974
Tl 0.5193 0.1295 0.2026
Tl 0.5193 0.3705 0.7026
Tl 0.8511 0.1291 0.0388
Tl 0.8511 0.3709 0.5388
Cl 0.1163 0.2353 0.9860
Cl 0.1163 0.2647 0.4860
Cl 0.1188 0.5495 0.7873
Cl 0.1188 0.9505 0.2873
Cl 0.2051 0.5643 0.1558
Cl 0.2051 0.9357 0.6558
Cl 0.3687 0.1139 0.4863
Cl 0.3687 0.3861 0.9863
Cl 0.3872 0.6324 0.5482
Cl 0.3872 0.8676 0.0482
Cl 0.6128 0.1324 0.9518
Cl 0.6128 0.3676 0.4518
Cl 0.6313 0.6139 0.0137
Cl 0.6313 0.8861 0.5137
Cl 0.7949 0.0643 0.3442
Cl 0.7949 0.4357 0.8442
Cl 0.8812 0.0495 0.7127
Cl 0.8812 0.4505 0.2127
Cl 0.8837 0.7353 0.5140
Cl 0.8837 0.7647 0.0140

Top 10 peaks for 2θ = 10–90°, by intensity:
d 3.823, 2θ = 23.27°, I = 100
d 4.077, 2θ = 21.80°, I = 75
d 4.212, 2θ = 21.09°, I = 60
d 2.697, 2θ = 33.22°, I = 52
d 4.457, 2θ = 19.92°, I = 48
d 7.470, 2θ = 11.85°, I = 45
d 2.744, 2θ = 32.64°, I = 38
d 3.051, 2θ = 29.27°, I = 38
d 3.724, 2θ = 23.90°, I = 36
d 2.258, 2θ = 39.92°, I = 34



# YAl3Cl12
Calculated powder diffraction line list, Cu Kα. Input: a cell relaxed with GGA-PBE.
Lines closer than 0.1° are merged.

Atomic structure:
Cell: 10.9893 10.9893 16.3043 Å, 90.00 90.00 120.00°
Fractional coordinates of all 48 atoms:
Y 0.1791 0.3582 0.1667
Y 0.1791 0.8209 0.8333
Y 0.6418 0.8209 0.5000
Al 0.2216 0.6108 0.0000
Al 0.3037 0.1142 0.2304
Al 0.3037 0.1894 0.7696
Al 0.3892 0.6108 0.3333
Al 0.3892 0.7784 0.6667
Al 0.8106 0.1142 0.1029
Al 0.8106 0.6963 0.8971
Al 0.8858 0.1894 0.5638
Al 0.8858 0.6963 0.4362
Cl 0.0188 0.1897 0.0414
Cl 0.0188 0.8291 0.9586
Cl 0.0958 0.5444 0.8892
Cl 0.0958 0.5514 0.1108
Cl 0.1026 0.2859 0.5396
Cl 0.1026 0.8167 0.4604
Cl 0.1660 0.5082 0.3130
Cl 0.1660 0.6578 0.6870
Cl 0.1709 0.1897 0.2919
Cl 0.1709 0.9812 0.7081
Cl 0.1833 0.2859 0.7937
Cl 0.1833 0.8974 0.2063
Cl 0.3343 0.0978 0.8842
Cl 0.3343 0.2366 0.1158
Cl 0.3422 0.5082 0.0204
Cl 0.3422 0.8340 0.9796
Cl 0.4486 0.5444 0.4442
Cl 0.4486 0.9042 0.5558
Cl 0.4556 0.5514 0.2225
Cl 0.4556 0.9042 0.7775
Cl 0.4918 0.6578 0.6463
Cl 0.4918 0.8340 0.3537
Cl 0.4935 0.1859 0.2945
Cl 0.4935 0.3076 0.7055
Cl 0.6924 0.1859 0.0388
Cl 0.6924 0.5065 0.9612
Cl 0.7141 0.8167 0.8729
Cl 0.7141 0.8974 0.1271
Cl 0.7634 0.0978 0.4491
Cl 0.7634 0.6657 0.5509
Cl 0.8103 0.8291 0.3748
Cl 0.8103 0.9812 0.6252
Cl 0.8141 0.3076 0.6278
Cl 0.8141 0.5065 0.3722
Cl 0.9022 0.2366 0.2175
Cl 0.9022 0.6657 0.7825

Top 10 peaks for 2θ = 10–90°, by intensity:
d 8.219, 2θ = 10.76°, I = 100
d 6.191, 2θ = 14.31°, I = 80
d 3.864, 2θ = 23.02°, I = 33
d 2.956, 2θ = 30.23°, I = 29
d 2.452, 2θ = 36.65°, I = 27
d 2.804, 2θ = 31.91°, I = 25
d 3.172, 2θ = 28.13°, I = 19
d 4.759, 2θ = 18.65°, I = 16
d 2.167, 2θ = 41.68°, I = 16
d 3.580, 2θ = 24.87°, I = 14



# ZrAlCl
Calculated powder diffraction line list, Cu Kα. Input: a cell relaxed with GGA-PBE.
Lines closer than 0.1° are merged.

Atomic structure:
Cell: 5.7101 3.2878 14.0425 Å, 90.00 95.92 90.00°
Fractional coordinates of all 12 atoms:
Zr 0.1078 0.0000 0.2694
Zr 0.3922 0.5000 0.7306
Zr 0.6078 0.5000 0.2694
Zr 0.8922 0.0000 0.7306
Al 0.1847 0.0000 0.5714
Al 0.3153 0.5000 0.4286
Al 0.6847 0.5000 0.5714
Al 0.8153 0.0000 0.4286
Cl 0.2424 0.5000 0.1407
Cl 0.2576 0.0000 0.8593
Cl 0.7424 0.0000 0.1407
Cl 0.7576 0.5000 0.8593

Top 10 peaks for 2θ = 10–90°, by intensity:
d 6.984, 2θ = 12.68°, I = 100
d 2.844, 2θ = 31.46°, I = 35
d 2.374, 2θ = 37.90°, I = 30
d 2.264, 2θ = 39.82°, I = 29
d 2.684, 2θ = 33.38°, I = 26
d 1.646, 2θ = 55.87°, I = 21
d 2.320, 2θ = 38.81°, I = 20
d 2.325, 2θ = 38.73°, I = 18
d 2.729, 2θ = 32.82°, I = 14
d 1.342, 2θ = 70.14°, I = 12



# Al7Co6
Calculated powder diffraction line list, Cu Kα. Input: a cell relaxed with GGA-PBE.
Lines closer than 0.1° are merged.

Atomic structure:
Cell: 8.6347 8.6347 8.6347 Å, 33.20 33.20 33.20°
Fractional coordinates of all 13 atoms:
Al 0.0000 0.0000 0.0000
Al 0.0831 0.0831 0.5775
Al 0.0831 0.5775 0.0831
Al 0.4225 0.9169 0.9169
Al 0.5775 0.0831 0.0831
Al 0.9169 0.4225 0.9169
Al 0.9169 0.9169 0.4225
Co 0.1668 0.1668 0.1668
Co 0.3434 0.3434 0.3434
Co 0.4527 0.4527 0.4527
Co 0.5473 0.5473 0.5473
Co 0.6566 0.6566 0.6566
Co 0.8332 0.8332 0.8332

Top 10 peaks for 2θ = 10–90°, by intensity:
d 2.467, 2θ = 36.42°, I = 100
d 2.111, 2θ = 42.85°, I = 90
d 2.122, 2θ = 42.60°, I = 45
d 1.972, 2θ = 46.02°, I = 32
d 2.129, 2θ = 42.47°, I = 31
d 1.233, 2θ = 77.37°, I = 28
d 1.345, 2θ = 69.96°, I = 19
d 8.151, 2θ = 10.85°, I = 18
d 1.348, 2θ = 69.78°, I = 18
d 1.424, 2θ = 65.53°, I = 16



# Al9Co2
Calculated powder diffraction line list, Cu Kα. Input: a cell relaxed with GGA-PBE.
Lines closer than 0.1° are merged.

Atomic structure:
Cell: 6.1988 6.2854 8.5422 Å, 90.00 94.91 90.00°
Fractional coordinates of all 22 atoms:
Al 0.0000 0.0000 0.0000
Al 0.0000 0.5000 0.5000
Al 0.0878 0.2103 0.7295
Al 0.0878 0.2897 0.2295
Al 0.2154 0.6142 0.0437
Al 0.2154 0.8858 0.5437
Al 0.3906 0.1920 0.9971
Al 0.3906 0.3080 0.4971
Al 0.4054 0.5334 0.7679
Al 0.4054 0.9666 0.2679
Al 0.5946 0.0334 0.7321
Al 0.5946 0.4666 0.2321
Al 0.6094 0.6920 0.5029
Al 0.6094 0.8080 0.0029
Al 0.7846 0.1142 0.4563
Al 0.7846 0.3858 0.9563
Al 0.9122 0.7103 0.7705
Al 0.9122 0.7897 0.2705
Co 0.2636 0.6184 0.3331
Co 0.2636 0.8816 0.8331
Co 0.7364 0.1184 0.1669
Co 0.7364 0.3816 0.6669

Top 10 peaks for 2θ = 10–90°, by intensity:
d 1.956, 2θ = 46.42°, I = 100
d 1.943, 2θ = 46.76°, I = 99
d 2.064, 2θ = 43.86°, I = 79
d 2.245, 2θ = 40.17°, I = 61
d 4.405, 2θ = 20.16°, I = 53
d 1.984, 2θ = 45.73°, I = 53
d 2.299, 2θ = 39.19°, I = 52
d 2.103, 2θ = 43.02°, I = 47
d 3.818, 2θ = 23.30°, I = 44
d 2.033, 2θ = 44.57°, I = 44



# AlCo5
Calculated powder diffraction line list, Cu Kα. Input: a cell relaxed with GGA-PBE.
Lines closer than 0.1° are merged.

Atomic structure:
Cell: 4.0543 2.5867 12.8619 Å, 90.00 90.00 90.00°
Fractional coordinates of all 12 atoms:
Al 0.0000 0.0000 0.0000
Al 0.0000 0.5000 0.5000
Co 0.0000 0.0000 0.3275
Co 0.0000 0.0000 0.6681
Co 0.0000 0.5000 0.1681
Co 0.0000 0.5000 0.8275
Co 0.5000 0.0000 0.2146
Co 0.5000 0.0000 0.5507
Co 0.5000 0.0000 0.8805
Co 0.5000 0.5000 0.0507
Co 0.5000 0.5000 0.3805
Co 0.5000 0.5000 0.7146

Top 10 peaks for 2θ = 10–90°, by intensity:
d 1.944, 2θ = 46.73°, I = 100
d 1.895, 2θ = 48.01°, I = 38
d 2.027, 2θ = 44.70°, I = 36
d 2.215, 2θ = 40.74°, I = 21
d 1.154, 2θ = 83.87°, I = 16
d 2.144, 2θ = 42.15°, I = 15
d 1.251, 2θ = 76.09°, I = 13
d 1.495, 2θ = 62.07°, I = 12
d 6.431, 2θ = 13.77°, I = 11
d 1.090, 2θ = 89.99°, I = 9